Diffraction record for FeP2O. The powder XRD pattern is theoretical, not measured: it uses a cell relaxed with GGA+U and a wavelength of 1.5418 Å.
Intensities are scaled so that the largest is 100.

Main lines, in order of rising 2θ (2θ from 5° to 70°):
2theta  I (rel.)  (hkl)
17.1  59  0 0 1
24.0  100  0 1 1
31.6  88  0 1 -1
35.4  60  1 0 0
35.7  94  0 1 2
36.3  72  1 1 0

```
data_FeP2O
_chemical_formula_sum 'Fe1 P2 O1'
_space_group_name_H-M_alt 'P 1'
_space_group_IT_number 1
_cell_length_a 2.636
_cell_length_b 4.355
_cell_length_c 5.388
_cell_angle_alpha 74.51
_cell_angle_beta 89.47
_cell_angle_gamma 74.36
loop_
_space_group_symop_operation_xyz
'x,y,z'
loop_
_atom_site_label
_atom_site_type_symbol
_atom_site_fract_x
_atom_site_fract_y
_atom_site_fract_z
Fe1 Fe 0.000 0.000 0.000
P1 P 0.742 0.457 0.630
P2 P 0.744 0.478 0.215
O1 O 0.126 0.721 0.640
```